1.
Diffraction record for Sr3ZrN3. The powder diffraction line list is calculated, not measured: it uses a GGA-PBE-relaxed structure and copper Kα.

Crystal structure
a = 8.987 Å, b = 8.987 Å, c = 10.446 Å
α = 90.00°, β = 90.00°, γ = 40.52°
Fractional positions:
Sr 0.067 0.303 0.858
Sr 0.108 0.892 0.837
Sr 0.197 0.433 0.642
Sr 0.303 0.067 0.142
Sr 0.392 0.608 0.337
Sr 0.433 0.197 0.358
Sr 0.567 0.803 0.642
Sr 0.608 0.392 0.663
Sr 0.697 0.933 0.858
Sr 0.803 0.567 0.358
Sr 0.892 0.108 0.163
Sr 0.933 0.697 0.142
Zr 0.093 0.093 0.500
Zr 0.407 0.407 0.000
Zr 0.593 0.593 0.000
Zr 0.907 0.907 0.500
N 0.048 0.633 0.383
N 0.133 0.548 0.883
N 0.193 0.807 0.597
N 0.307 0.693 0.097
N 0.367 0.952 0.383
N 0.452 0.867 0.883
N 0.548 0.133 0.117
N 0.633 0.048 0.617
N 0.693 0.307 0.903
N 0.807 0.193 0.403
N 0.867 0.452 0.117
N 0.952 0.367 0.617

Main lines, by angle (10 to 90 degrees two-theta):
- 27.19 deg, intensity 17.1
- 27.36 deg, intensity 46.2
- 29.88 deg, intensity 100.0
- 31.36 deg, intensity 87.5
- 31.83 deg, intensity 87.6
- 36.30 deg, intensity 17.2
- 47.53 deg, intensity 33.0
- 50.01 deg, intensity 29.7
- 53.22 deg, intensity 23.6
- 53.98 deg, intensity 22.4
- 58.59 deg, intensity 16.9
- 68.57 deg, intensity 17.5

=====

2.
Diffraction record for LiEr3Tl2. The powder diffraction line list is calculated, not measured: it uses a GGA-PBE-relaxed structure and copper Kα.

Crystal structure
a = 5.258 Å, b = 5.258 Å, c = 12.974 Å
α = 90.00°, β = 90.00°, γ = 120.00°
Fractional positions:
Li 0.333 0.667 0.172
Li 0.667 0.333 0.828
Er 0.000 0.000 0.250
Er 0.000 0.000 0.750
Er 0.333 0.667 0.418
Er 0.333 0.667 0.921
Er 0.667 0.333 0.079
Er 0.667 0.333 0.582
Tl 0.000 0.000 0.000
Tl 0.000 0.000 0.500
Tl 0.333 0.667 0.684
Tl 0.667 0.333 0.316

Main lines, by angle (10 to 90 degrees two-theta):
- 20.67 deg, intensity 20.6
- 33.93 deg, intensity 97.1
- 34.10 deg, intensity 100.0
- 40.17 deg, intensity 10.0
- 48.87 deg, intensity 35.2
- 60.61 deg, intensity 18.6
- 60.94 deg, intensity 36.6
- 61.05 deg, intensity 19.0
- 71.41 deg, intensity 11.5
- 71.81 deg, intensity 11.8
- 81.56 deg, intensity 16.4
- 81.84 deg, intensity 16.0

=====

3.
Diffraction record for Cs3Zn2Bi2. The powder diffraction line list is calculated, not measured: it uses a GGA-PBE-relaxed structure and copper Kα.

Crystal structure
a = 7.473 Å, b = 10.338 Å, c = 15.320 Å
α = 90.00°, β = 90.00°, γ = 90.00°
Fractional positions:
Cs 0.112 0.128 0.105
Cs 0.112 0.128 0.395
Cs 0.112 0.372 0.605
Cs 0.112 0.372 0.895
Cs 0.308 0.713 0.750
Cs 0.308 0.787 0.250
Cs 0.692 0.213 0.750
Cs 0.692 0.287 0.250
Cs 0.888 0.628 0.105
Cs 0.888 0.628 0.395
Cs 0.888 0.872 0.605
Cs 0.888 0.872 0.895
Zn 0.402 0.019 0.582
Zn 0.402 0.019 0.918
Zn 0.402 0.481 0.082
Zn 0.402 0.481 0.418
Zn 0.598 0.519 0.582
Zn 0.598 0.519 0.918
Zn 0.598 0.981 0.082
Zn 0.598 0.981 0.418
Bi 0.231 0.070 0.750
Bi 0.231 0.430 0.250
Bi 0.407 0.750 0.000
Bi 0.407 0.750 0.500
Bi 0.593 0.250 0.000
Bi 0.593 0.250 0.500
Bi 0.769 0.570 0.750
Bi 0.769 0.930 0.250

Main lines, by angle (10 to 90 degrees two-theta):
- 15.73 deg, intensity 41.8
- 24.50 deg, intensity 88.0
- 25.35 deg, intensity 98.0
- 26.14 deg, intensity 41.6
- 26.54 deg, intensity 69.1
- 27.56 deg, intensity 48.7
- 28.52 deg, intensity 100.0
- 30.89 deg, intensity 82.0
- 31.44 deg, intensity 44.1
- 36.79 deg, intensity 49.2
- 46.52 deg, intensity 49.4
- 56.28 deg, intensity 44.4

=====

4.
Diffraction record for Li3SmCu3. The powder diffraction line list is calculated, not measured: it uses a GGA-PBE-relaxed structure and copper Kα.

Crystal structure
a = 6.392 Å, b = 6.392 Å, c = 6.392 Å
α = 90.00°, β = 90.00°, γ = 90.00°
Fractional positions:
Li 0.000 0.250 0.500
Li 0.000 0.750 0.500
Li 0.250 0.500 0.000
Li 0.500 0.000 0.250
Li 0.500 0.000 0.750
Li 0.750 0.500 0.000
Sm 0.000 0.000 0.000
Sm 0.500 0.500 0.500
Cu 0.000 0.500 0.250
Cu 0.000 0.500 0.750
Cu 0.250 0.000 0.500
Cu 0.500 0.250 0.000
Cu 0.500 0.750 0.000
Cu 0.750 0.000 0.500

Main lines, by angle (10 to 90 degrees two-theta):
- 19.64 deg, intensity 22.2
- 27.92 deg, intensity 43.2
- 31.29 deg, intensity 42.6
- 34.37 deg, intensity 100.0
- 51.56 deg, intensity 9.8
- 53.65 deg, intensity 55.1
- 57.69 deg, intensity 14.9
- 65.29 deg, intensity 15.0
- 67.11 deg, intensity 8.2
- 68.91 deg, intensity 12.7
- 82.70 deg, intensity 15.2
- 86.05 deg, intensity 9.1

=====

5.
Diffraction record for AcCuNiSb2. The powder diffraction line list is calculated, not measured: it uses a GGA-PBE-relaxed structure and copper Kα.

Crystal structure
a = 4.482 Å, b = 4.482 Å, c = 11.328 Å
α = 90.00°, β = 90.00°, γ = 90.00°
Fractional positions:
Ac 0.000 0.000 0.000
Ac 0.500 0.500 0.500
Cu 0.000 0.500 0.250
Cu 0.500 0.000 0.750
Ni 0.000 0.500 0.750
Ni 0.500 0.000 0.250
Sb 0.000 0.000 0.363
Sb 0.000 0.000 0.637
Sb 0.500 0.500 0.137
Sb 0.500 0.500 0.863

Main lines, by angle (10 to 90 degrees two-theta):
- 28.15 deg, intensity 37.4
- 30.97 deg, intensity 100.0
- 32.37 deg, intensity 49.5
- 40.24 deg, intensity 48.3
- 44.83 deg, intensity 19.8
- 51.62 deg, intensity 48.2
- 56.76 deg, intensity 21.1
- 58.22 deg, intensity 16.1
- 61.80 deg, intensity 15.4
- 65.93 deg, intensity 11.8
- 81.52 deg, intensity 13.0
- 85.70 deg, intensity 13.1

=====

6.
Diffraction record for PmPr2Tm5Sc. The powder diffraction line list is calculated, not measured: it uses a GGA-PBE-relaxed structure and copper Kα.

Crystal structure
a = 10.192 Å, b = 10.192 Å, c = 10.444 Å
α = 90.00°, β = 90.00°, γ = 148.30°
Fractional positions:
Pm 0.086 0.914 0.500
Pm 0.914 0.086 0.000
Pr 0.385 0.615 0.774
Pr 0.388 0.612 0.356
Pr 0.612 0.388 0.856
Pr 0.615 0.385 0.274
Tm 0.018 0.982 0.780
Tm 0.123 0.877 0.060
Tm 0.203 0.797 0.745
Tm 0.223 0.777 0.364
Tm 0.483 0.517 0.063
Tm 0.517 0.483 0.563
Tm 0.777 0.223 0.864
Tm 0.797 0.203 0.245
Tm 0.877 0.123 0.560
Tm 0.982 0.018 0.280
Sc 0.302 0.698 0.056
Sc 0.698 0.302 0.556

Main lines, by angle (10 to 90 degrees two-theta):
- 27.10 deg, intensity 23.9
- 28.62 deg, intensity 18.8
- 30.63 deg, intensity 40.5
- 32.16 deg, intensity 46.0
- 32.78 deg, intensity 100.0
- 34.34 deg, intensity 11.7
- 43.58 deg, intensity 12.0
- 47.76 deg, intensity 9.3
- 51.95 deg, intensity 12.1
- 57.73 deg, intensity 19.9
- 60.69 deg, intensity 12.2
- 62.43 deg, intensity 13.8

=====

7.
Diffraction record for Na4AcO4. The powder diffraction line list is calculated, not measured: it uses a GGA-PBE-relaxed structure and copper Kα.

Crystal structure
a = 6.183 Å, b = 6.183 Å, c = 8.545 Å
α = 120.31°, β = 120.31°, γ = 34.63°
Fractional positions:
Na 0.133 0.133 0.394
Na 0.297 0.297 0.182
Na 0.703 0.703 0.818
Na 0.867 0.867 0.606
Ac 0.500 0.500 0.000
O 0.081 0.081 0.883
O 0.292 0.292 0.707
O 0.708 0.708 0.293
O 0.919 0.919 0.117

Main lines, by angle (10 to 90 degrees two-theta):
- 12.20 deg, intensity 100.0
- 15.28 deg, intensity 69.3
- 17.70 deg, intensity 23.4
- 21.34 deg, intensity 16.2
- 25.79 deg, intensity 24.4
- 26.46 deg, intensity 48.6
- 30.62 deg, intensity 30.9
- 32.37 deg, intensity 15.8
- 35.01 deg, intensity 48.5
- 37.53 deg, intensity 20.5
- 40.71 deg, intensity 16.1
- 52.55 deg, intensity 14.6

=====

8.
Diffraction record for RbRhCl5. The powder diffraction line list is calculated, not measured: it uses a GGA-PBE-relaxed structure and copper Kα.

Crystal structure
a = 7.858 Å, b = 9.503 Å, c = 6.424 Å
α = 90.00°, β = 90.00°, γ = 90.00°
Fractional positions:
Rb 0.000 0.000 0.000
Rb 0.500 0.500 0.500
Rh 0.000 0.500 0.980
Rh 0.500 0.000 0.480
Cl 0.000 0.325 0.749
Cl 0.000 0.500 0.331
Cl 0.000 0.675 0.749
Cl 0.201 0.000 0.487
Cl 0.299 0.500 0.987
Cl 0.500 0.000 0.831
Cl 0.500 0.175 0.249
Cl 0.500 0.825 0.249
Cl 0.701 0.500 0.987
Cl 0.799 0.000 0.487

Main lines, by angle (10 to 90 degrees two-theta):
- 14.63 deg, intensity 25.5
- 16.66 deg, intensity 24.3
- 17.83 deg, intensity 81.4
- 18.68 deg, intensity 100.0
- 22.63 deg, intensity 54.6
- 25.93 deg, intensity 71.0
- 33.68 deg, intensity 55.6
- 37.06 deg, intensity 28.1
- 40.96 deg, intensity 20.0
- 41.81 deg, intensity 39.4
- 48.02 deg, intensity 21.2
- 59.01 deg, intensity 20.0

=====

9.
Diffraction record for MnTe2Au. The powder diffraction line list is calculated, not measured: it uses a GGA-PBE-relaxed structure and copper Kα.

Crystal structure
a = 4.694 Å, b = 7.129 Å, c = 6.734 Å
α = 90.00°, β = 102.62°, γ = 90.00°
Fractional positions:
Mn 0.206 0.000 0.352
Mn 0.794 0.000 0.648
Te 0.000 0.789 0.000
Te 0.322 0.164 0.743
Te 0.500 0.694 0.500
Te 0.678 0.164 0.257
Au 0.272 0.534 0.811
Au 0.728 0.534 0.189

Main lines, by angle (10 to 90 degrees two-theta):
- 12.42 deg, intensity 33.8
- 24.54 deg, intensity 100.0
- 24.98 deg, intensity 40.2
- 26.03 deg, intensity 99.1
- 28.94 deg, intensity 37.9
- 29.94 deg, intensity 44.8
- 32.91 deg, intensity 54.9
- 37.22 deg, intensity 37.6
- 39.29 deg, intensity 32.7
- 43.73 deg, intensity 51.1
- 46.53 deg, intensity 33.3
- 47.19 deg, intensity 56.7

=====

10.
Diffraction record for Mg3Hg2Pd. The powder diffraction line list is calculated, not measured: it uses a GGA-PBE-relaxed structure and copper Kα.

Crystal structure
a = 3.321 Å, b = 3.321 Å, c = 10.552 Å
α = 90.00°, β = 90.00°, γ = 90.00°
Fractional positions:
Mg 0.000 0.000 0.000
Mg 0.000 0.000 0.360
Mg 0.000 0.000 0.640
Hg 0.500 0.500 0.181
Hg 0.500 0.500 0.819
Pd 0.500 0.500 0.500

Main lines, by angle (10 to 90 degrees two-theta):
- 25.32 deg, intensity 37.4
- 26.85 deg, intensity 67.6
- 31.84 deg, intensity 13.2
- 37.24 deg, intensity 100.0
- 38.33 deg, intensity 49.7
- 46.50 deg, intensity 30.3
- 55.33 deg, intensity 17.2
- 59.48 deg, intensity 12.9
- 61.79 deg, intensity 13.1
- 62.55 deg, intensity 13.2
- 66.42 deg, intensity 14.7
- 68.60 deg, intensity 33.5

=====

11.
Diffraction record for Cs4HgF6. The powder diffraction line list is calculated, not measured: it uses a GGA-PBE-relaxed structure and copper Kα.

Crystal structure
a = 8.196 Å, b = 8.196 Å, c = 8.196 Å
α = 89.23°, β = 89.23°, γ = 89.23°
Fractional positions:
Cs 0.116 0.750 0.384
Cs 0.250 0.250 0.250
Cs 0.250 0.616 0.884
Cs 0.384 0.116 0.750
Cs 0.616 0.884 0.250
Cs 0.750 0.384 0.116
Cs 0.750 0.750 0.750
Cs 0.884 0.250 0.616
Hg 0.000 0.000 0.000
Hg 0.500 0.500 0.500
F 0.060 0.927 0.725
F 0.073 0.275 0.940
F 0.225 0.427 0.560
F 0.275 0.940 0.073
F 0.427 0.560 0.225
F 0.440 0.775 0.573
F 0.560 0.225 0.427
F 0.573 0.440 0.775
F 0.725 0.060 0.927
F 0.775 0.573 0.440
F 0.927 0.725 0.060
F 0.940 0.073 0.275

Main lines, by angle (10 to 90 degrees two-theta):
- 15.19 deg, intensity 18.1
- 15.39 deg, intensity 23.3
- 24.16 deg, intensity 55.3
- 26.34 deg, intensity 13.6
- 26.83 deg, intensity 100.0
- 30.65 deg, intensity 32.1
- 34.47 deg, intensity 37.3
- 36.41 deg, intensity 32.5
- 47.09 deg, intensity 28.6
- 47.38 deg, intensity 18.0
- 55.28 deg, intensity 13.3
- 71.21 deg, intensity 14.6